# Ba2MnHgO4
Computed X-ray diffraction stick pattern, Cu Kα (weighted mean of Kα1 and Kα2). Input: the GGA+U geometry in Alexandria.
No peak broadening, texture or thermal motion is included.

Cell and atoms:
```
data_Ba2MnHgO4
_chemical_formula_sum 'Ba4 Mn2 Hg2 O8'
_cell_length_a 7.3884
_cell_length_b 7.3884
_cell_length_c 6.9321
_cell_angle_alpha 90.00
_cell_angle_beta 90.00
_cell_angle_gamma 90.00
_symmetry_space_group_name_H-M 'P 1'
_symmetry_Int_Tables_number 1
_symmetry_space_group_name_Hall 'P 1'
loop_
_atom_site_label
_atom_site_type_symbol
_atom_site_fract_x
_atom_site_fract_y
_atom_site_fract_z
_atom_site_occupancy
Ba1 Ba 0.0000 0.0000 0.0000 1
Ba2 Ba 0.0000 0.5000 0.2500 1
Ba3 Ba 0.5000 0.0000 0.7500 1
Ba4 Ba 0.5000 0.5000 0.5000 1
Mn1 Mn 0.0000 0.5000 0.7500 1
Mn2 Mn 0.5000 0.0000 0.2500 1
Hg1 Hg 0.0000 0.0000 0.5000 1
Hg2 Hg 0.5000 0.5000 0.0000 1
O1 O 0.0773 0.3333 0.9259 1
O2 O 0.1667 0.5773 0.5741 1
O3 O 0.3333 0.9227 0.0741 1
O4 O 0.4227 0.1667 0.4259 1
O5 O 0.5773 0.8333 0.4259 1
O6 O 0.6667 0.0773 0.0741 1
O7 O 0.8333 0.4227 0.5741 1
O8 O 0.9227 0.6667 0.9259 1
```

Peak list (10 most intense, 15 to 90 degrees two-theta, in order of rising 2θ)
two_theta, I_rel, index
24.1, 100, 2 0 0
31.0, 98, 1 1 2
34.3, 37, 2 2 0
46.9, 70, 1 3 2
55.6, 20, 4 2 0
58.9, 17, 2 0 4
59.4, 17, 3 3 2
64.5, 15, 2 2 4
70.4, 20, 1 5 2
80.3, 14, 2 4 4